No. 1
The following is a computed XRD peak list of Ba3Np2ScO9. It was derived from a PBE-relaxed structure, using Cu Ka.
No peak broadening, texture or thermal motion is included.

Crystal structure
Cell lengths 6.1083, 6.1083, 7.5143 Å; angles 90.00, 90.00, 120.00 degrees
Fractional coordinates of all 15 atoms:
1 Ba 0.0000 0.0000 0.0000
2 Ba 0.3333 0.6667 0.6563
3 Ba 0.6667 0.3333 0.3437
4 Np 0.3333 0.6667 0.1735
5 Np 0.6667 0.3333 0.8265
6 Sc 0.0000 0.0000 0.5000
7 O 0.0000 0.5000 0.0000
8 O 0.1652 0.3304 0.3361
9 O 0.1652 0.8348 0.3361
10 O 0.3304 0.1652 0.6639
11 O 0.5000 0.0000 0.0000
12 O 0.5000 0.5000 0.0000
13 O 0.6696 0.8348 0.3361
14 O 0.8348 0.1652 0.6639
15 O 0.8348 0.6696 0.6639

Peak list (10 most intense, 10 to 80 degrees two-theta, sorted by position)
two_theta, intensity, index
16.8, 82, 1 0 0
20.5, 115, 0 1 1
29.2, 1000, 1 1 0
41.8, 289, 2 0 2
51.6, 105, 1 0 4
51.8, 315, 3 0 0
60.4, 92, 0 2 4
60.6, 90, 2 2 0
68.5, 92, 2 1 4
68.7, 94, 3 1 2



No. 2
The following is a computed XRD peak list of SrPmCuN2. It was derived from a PBE-relaxed structure, using Cu Ka.
No peak broadening, texture or thermal motion is included.

Crystal structure
Cell lengths 5.3254, 5.5001, 6.7857 Å; angles 90.00, 90.00, 90.00 degrees
Fractional coordinates of all 10 atoms:
1 Sr 0.0000 0.0000 0.2500
2 Sr 0.0000 0.0000 0.7500
3 Pm 0.5000 0.5000 0.2500
4 Pm 0.5000 0.5000 0.7500
5 Cu 0.0000 0.5000 0.0000
6 Cu 0.0000 0.5000 0.5000
7 N 0.2662 0.2801 0.0000
8 N 0.2662 0.7199 0.5000
9 N 0.7338 0.2801 0.5000
10 N 0.7338 0.7199 0.0000

Peak list (10 most intense, 10 to 80 degrees two-theta, sorted by position)
two_theta, intensity, index
16.1, 335, 0 1 0
23.2, 439, 1 1 0
31.3, 118, 1 0 2
32.6, 263, 0 2 0
33.7, 238, 2 0 0
35.4, 1000, 1 1 2
47.5, 246, 2 2 0
59.9, 213, 1 3 2
61.3, 219, 3 1 2
74.8, 122, 2 2 4



No. 3
The following is a computed XRD peak list of Ce4GaTe. It was derived from a PBE-relaxed structure, using Cu Ka.
No peak broadening, texture or thermal motion is included.

Crystal structure
Cell lengths 4.1303, 4.1303, 9.4546 Å; angles 90.00, 90.00, 90.00 degrees
Fractional coordinates of all 6 atoms:
1 Ce 0.0000 0.0000 0.1414
2 Ce 0.0000 0.0000 0.8586
3 Ce 0.5000 0.5000 0.3580
4 Ce 0.5000 0.5000 0.6420
5 Ga 0.0000 0.0000 0.5000
6 Te 0.5000 0.5000 0.0000

Peak list (10 most intense, 10 to 80 degrees two-theta, sorted by position)
two_theta, intensity, index
23.5, 144, 1 0 1
30.6, 902, 1 1 0
35.8, 1000, 1 0 3
43.8, 336, 2 0 0
49.6, 80, 1 1 4
57.9, 496, 2 1 3
63.7, 109, 2 2 0
67.5, 89, 1 1 6
72.3, 150, 3 1 0
75.3, 113, 3 0 3